Record 1
The following is a calculated X-ray diffraction stick pattern of LiSb2Pd5. It was derived from a DFT-relaxed cell (PBE, Alexandria), using Cu Kα (weighted mean of Kα1 and Kα2).
Peak positions follow from Bragg's law for the DFT cell and can differ from measured ones.

Structure:
a = 6.624 Å, b = 6.624 Å, c = 6.624 Å
α = 145.61°, β = 107.79°, γ = 82.49°
Fractional coordinates of all 8 atoms:
Li (0.000, 0.000, 0.000)
Sb (0.235, 0.735, 0.500)
Sb (0.765, 0.265, 0.500)
Pd (0.167, 0.356, 0.812)
Pd (0.456, 0.644, 0.812)
Pd (0.500, 0.000, 0.500)
Pd (0.544, 0.356, 0.188)
Pd (0.833, 0.644, 0.188)

Largest 12 diffraction maxima, most intense first, 2θ = 10–90°:
Position (°2θ)	I (rel.)
41.67	100
35.44	96
14.42	86
44.66	66
43.09	62
33.64	52
44.22	44
17.81	42
46.37	41
65.15	35
75.93	28
66.01	26

=====

Record 2
The following is a calculated X-ray diffraction stick pattern of Pm5NdSn5. It was derived from a DFT-relaxed cell (PBE, Alexandria), using Cu Kα (weighted mean of Kα1 and Kα2).
Peak positions follow from Bragg's law for the DFT cell and can differ from measured ones.

Structure:
a = 7.870 Å, b = 7.870 Å, c = 8.717 Å
α = 105.95°, β = 105.95°, γ = 47.40°
Fractional coordinates of all 11 atoms:
Pm (0.000, 0.000, 0.000)
Pm (0.331, 0.331, 0.664)
Pm (0.333, 0.333, 0.166)
Pm (0.667, 0.667, 0.834)
Pm (0.669, 0.669, 0.336)
Nd (0.000, 0.000, 0.500)
Sn (0.164, 0.164, 0.327)
Sn (0.166, 0.166, 0.837)
Sn (0.500, 0.500, 0.500)
Sn (0.834, 0.834, 0.163)
Sn (0.836, 0.836, 0.673)

Largest 12 diffraction maxima, most intense first, 2θ = 10–90°:
Position (°2θ)	I (rel.)
28.24	100
40.36	52
49.09	15
39.32	14
50.88	13
66.06	12
41.44	12
58.35	9
66.09	6
66.21	6
72.04	5
71.93	5

=====

Record 3
The following is a calculated X-ray diffraction stick pattern of GePbF. It was derived from a DFT-relaxed cell (PBE, Alexandria), using Cu Kα (weighted mean of Kα1 and Kα2).
Peak positions follow from Bragg's law for the DFT cell and can differ from measured ones.

Structure:
a = 13.400 Å, b = 3.412 Å, c = 3.412 Å
α = 57.63°, β = 90.00°, γ = 90.00°
Fractional coordinates of all 6 atoms:
Ge (0.000, 0.000, 0.000)
Ge (0.500, 0.344, 0.344)
Pb (0.193, 0.712, 0.712)
Pb (0.807, 0.712, 0.712)
F (0.385, 0.847, 0.847)
F (0.615, 0.847, 0.847)

Largest 12 diffraction maxima, most intense first, 2θ = 10–90°:
Position (°2θ)	I (rel.)
33.86	100
19.88	73
46.26	69
37.13	66
31.03	61
32.80	58
36.16	56
33.44	35
13.21	34
57.88	33
31.76	30
29.89	28

=====

Record 4
The following is a calculated X-ray diffraction stick pattern of NaPmTm4Se8. It was derived from a DFT-relaxed cell (PBE, Alexandria), using Cu Kα (weighted mean of Kα1 and Kα2).
Peak positions follow from Bragg's law for the DFT cell and can differ from measured ones.

Structure:
a = 8.472 Å, b = 8.472 Å, c = 8.472 Å
α = 59.19°, β = 59.19°, γ = 59.19°
Fractional coordinates of all 14 atoms:
Na (0.000, 0.000, 0.000)
Pm (0.632, 0.632, 0.632)
Tm (0.113, 0.633, 0.633)
Tm (0.254, 0.254, 0.254)
Tm (0.633, 0.113, 0.633)
Tm (0.633, 0.633, 0.113)
Se (0.380, 0.380, 0.857)
Se (0.380, 0.857, 0.380)
Se (0.386, 0.386, 0.386)
Se (0.406, 0.873, 0.873)
Se (0.857, 0.380, 0.380)
Se (0.867, 0.867, 0.867)
Se (0.873, 0.406, 0.873)
Se (0.873, 0.873, 0.406)

Largest 12 diffraction maxima, most intense first, 2θ = 10–90°:
Position (°2θ)	I (rel.)
30.02	100
42.70	67
43.25	67
24.83	56
12.93	34
24.94	30
24.61	27
39.34	26
39.12	21
62.40	21
12.72	20
78.94	20